The following is a computed X-ray diffraction stick pattern of Ce8DySn6. It was derived from a GGA-PBE-relaxed structure, using Cu Kα, 1.54184 Å.

```
data_Ce8DySn6
_symmetry_space_group_name_H-M 'P 1'
_symmetry_Int_Tables_number 1
_cell_length_a 8.4429
_cell_length_b 8.4429
_cell_length_c 8.4429
_cell_angle_alpha 67.36
_cell_angle_beta 67.36
_cell_angle_gamma 67.36
loop_
_symmetry_equiv_pos_as_xyz
'x,y,z'
loop_
_atom_site_label
_atom_site_type_symbol
_atom_site_fract_x
_atom_site_fract_y
_atom_site_fract_z
Ce1 Ce 0.0591 0.7446 0.4045
Ce2 Ce 0.1653 0.1653 0.1653
Ce3 Ce 0.2554 0.5955 0.9409
Ce4 Ce 0.4045 0.0591 0.7446
Ce5 Ce 0.5955 0.9409 0.2554
Ce6 Ce 0.7446 0.4045 0.0591
Ce7 Ce 0.8347 0.8347 0.8347
Ce8 Ce 0.9409 0.2554 0.5955
Dy1 Dy 0.5000 0.5000 0.5000
Sn1 Sn 0.1072 0.4300 0.7550
Sn2 Sn 0.2450 0.8928 0.5700
Sn3 Sn 0.4300 0.7550 0.1072
Sn4 Sn 0.5700 0.2450 0.8928
Sn5 Sn 0.7550 0.1072 0.4300
Sn6 Sn 0.8928 0.5700 0.2450
```

Main lines, in order of falling intensity (2θ = 10–90°):
33.14°, I = 100; 33.62°, I = 83; 59.51°, I = 31; 47.93°, I = 30; 23.44°, I = 26; 43.59°, I = 19; 59.21°, I = 19; 79.51°, I = 13